Starting from a PBE-relaxed structure, the X-ray diffraction stick pattern of Ti2BiH was simulated for CuKα.
Neutral-atom scattering factors, no anomalous dispersion.

Peak list (10 most intense, 10 to 90 degrees two-theta, in order of rising 2θ)
two_theta, I_rel
12.80, 21
20.54, 27
22.67, 20
26.47, 28
26.79, 31
30.46, 38
35.16, 25
36.23, 100
36.98, 33
39.06, 19

Cell and atoms:
Cell: 7.1726 5.5397 6.8143 Å, 90.00 105.29 90.00°
Element x y z (fractional)
Ti1 0.0417 0.1358 0.3235
Ti2 0.0417 0.3642 0.8235
Ti3 0.2480 0.6250 0.5356
Ti4 0.2480 0.8750 0.0356
Ti5 0.7520 0.1250 0.9644
Ti6 0.7520 0.3750 0.4644
Ti7 0.9583 0.6358 0.1765
Ti8 0.9583 0.8642 0.6765
Bi1 0.3460 0.1172 0.6919
Bi2 0.3460 0.3828 0.1919
Bi3 0.6540 0.6172 0.8081
Bi4 0.6540 0.8828 0.3081
H1 0.1720 0.6607 0.7873
H2 0.1720 0.8393 0.2873
H3 0.8280 0.1607 0.7127
H4 0.8280 0.3393 0.2127